Theoretical powder XRD pattern of SmMgCo2H8 for Cu Kα (weighted mean of Kα1 and Kα2), from a structure optimized by DFT (GGA-PBE).

Cell and atoms:
```
data_SmMgCo2H8
_chemical_formula_sum 'Sm3 Mg3 Co6 H24'
_cell_length_a 4.5575
_cell_length_b 4.5575
_cell_length_c 16.0718
_cell_angle_alpha 90.00
_cell_angle_beta 90.00
_cell_angle_gamma 120.00
_symmetry_space_group_name_H-M 'R -3'
_symmetry_Int_Tables_number 148
_symmetry_space_group_name_Hall '-R 3'
loop_
_atom_site_label
_atom_site_fract_x
_atom_site_fract_y
_atom_site_fract_z
Sm1 0.0000 0.0000 0.0000
Mg1 0.0000 0.0000 0.5000
Co1 0.0000 0.0000 0.1961
H1 0.0000 0.0000 0.2982
H2 0.0335 0.2815 0.8803
```

Principal peaks in the range 2θ = 5–70°, low angle first:
Position (°2θ)	intensity	h k l
23.2	100	1 0 1
31.8	66	1 0 4
33.5	25	0 0 6
36.0	68	0 1 5
39.5	80	1 1 0
51.6	17	0 2 4
52.7	41	2 -1 6
54.6	21	2 0 5
62.4	20	1 0 10
69.5	19	3 -2 5